1.
ReOF2: theoretical powder XRD pattern (Cu Kα (weighted mean of Kα1 and Kα2)), based on a GGA-PBE-relaxed structure.
Neutral-atom scattering factors, no anomalous dispersion.

Cell and atoms:
```
data_ReOF2
_symmetry_space_group_name_H-M 'P 1 2 1'
_symmetry_Int_Tables_number 3
_cell_length_a 5.440
_cell_length_b 3.714
_cell_length_c 9.972
_cell_angle_alpha 90.00
_cell_angle_beta 90.34
_cell_angle_gamma 90.00
loop_
_symmetry_equiv_pos_as_xyz
'x,y,z'
'-x,y,-z'
loop_
_atom_site_label
_atom_site_type_symbol
_atom_site_fract_x
_atom_site_fract_y
_atom_site_fract_z
Re1 Re 0.190 0.000 0.048
Re2 Re 0.310 0.498 0.452
O1 O 0.222 0.500 0.050
O2 O 0.278 0.999 0.451
F1 F 0.073 0.002 0.226
F2 F 0.114 0.498 0.616
F3 F 0.386 0.000 0.884
F4 F 0.427 0.501 0.274
```

Main lines, by intensity (10 to 80 degrees two-theta):
2θ (°)  Rel. int.  index
25.59  100  0 1 1
17.79  83  0 0 2
18.53  46  1 0 -1
37.77  31  2 0 2
31.46  28  1 0 -3
42.20  28  2 1 1
46.89  23  1 1 -4
34.27  19  1 1 -2
63.54  18  2 2 2
49.91  17  2 1 3
49.05  15  0 2 0
32.93  15  2 0 0


2.
AgBiTeO: theoretical powder XRD pattern (Cu Kα (weighted mean of Kα1 and Kα2)), based on a GGA-PBE-relaxed structure.
Neutral-atom scattering factors, no anomalous dispersion.

Cell and atoms:
```
data_AgBiTeO
_symmetry_space_group_name_H-M 'P 1 21/c 1'
_symmetry_Int_Tables_number 14
_cell_length_a 7.078
_cell_length_b 7.681
_cell_length_c 6.797
_cell_angle_alpha 90.00
_cell_angle_beta 97.35
_cell_angle_gamma 90.00
loop_
_symmetry_equiv_pos_as_xyz
'x,y,z'
'-x,-y,-z'
'-x,y+1/2,-z+1/2'
'x,-y+1/2,z+1/2'
loop_
_atom_site_label
_atom_site_type_symbol
_atom_site_fract_x
_atom_site_fract_y
_atom_site_fract_z
Ag1 Ag 0.059 0.198 0.485
Bi1 Bi 0.448 0.611 0.774
Te1 Te 0.177 0.529 0.326
O1 O 0.421 0.166 0.420
```

Main lines, by intensity (10 to 80 degrees two-theta):
2θ (°)  Rel. int.  index
29.53  100  2 1 -1
28.89  91  1 2 -1
30.86  88  1 0 2
38.40  54  2 2 1
26.72  39  0 2 1
30.38  36  1 2 1
27.92  36  1 0 -2
25.38  34  2 0 0
45.86  33  3 1 -2
35.43  32  0 2 2
44.17  28  3 1 1
26.45  26  0 0 2


3.
Ag2PdBr4: theoretical powder XRD pattern (Cu Kα (weighted mean of Kα1 and Kα2)), based on a GGA-PBE-relaxed structure.
Neutral-atom scattering factors, no anomalous dispersion.

Cell and atoms:
```
data_Ag2PdBr4
_symmetry_space_group_name_H-M 'C m c e'
_symmetry_Int_Tables_number 64
_symmetry_space_group_name_Hall '-C 2ac 2'
_cell_length_a 10.625
_cell_length_b 8.420
_cell_length_c 8.387
_cell_angle_alpha 90.00
_cell_angle_beta 90.00
_cell_angle_gamma 90.00
loop_
_atom_site_label
_atom_site_type_symbol
_atom_site_fract_x
_atom_site_fract_y
_atom_site_fract_z
Ag1 Ag 0.250 0.225 0.250
Pd1 Pd 0.000 0.000 0.000
Br1 Br 0.000 0.198 0.782
Br2 Br 0.233 0.000 0.000
```

Main lines, by intensity (10 to 80 degrees two-theta):
2θ (°)  Rel. int.  index
30.08  100  0 2 2
45.82  58  4 2 2
33.74  42  4 0 0
17.10  41  1 1 1
43.14  18  0 0 4
29.08  17  2 2 1
55.86  16  4 0 4
42.97  12  0 4 0
47.72  12  2 4 1
55.72  11  4 4 0
71.02  10  8 0 0
78.96  10  8 2 2


4.
KLu4BrO6: theoretical powder XRD pattern (Cu Kα (weighted mean of Kα1 and Kα2)), based on a GGA-PBE-relaxed structure.
Neutral-atom scattering factors, no anomalous dispersion.

Cell and atoms:
```
data_KLu4BrO6
_symmetry_space_group_name_H-M 'P 6/m m m'
_symmetry_Int_Tables_number 191
_symmetry_space_group_name_Hall '-P 6 2'
_cell_length_a 6.5310
_cell_length_b 6.5310
_cell_length_c 8.5161
_cell_angle_alpha 90.00
_cell_angle_beta 90.00
_cell_angle_gamma 120.00
loop_
_atom_site_label
_atom_site_type_symbol
_atom_site_fract_x
_atom_site_fract_y
_atom_site_fract_z
K1 K 0.0000 0.0000 0.0000
Lu1 Lu 0.3333 0.6667 0.2568
Br1 Br 0.0000 0.0000 0.5000
O1 O 0.0000 0.5000 0.1858
```

Main lines, by intensity (10 to 80 degrees two-theta):
2θ (°)  Rel. int.  index
27.31  100  1 1 0
26.20  89  1 0 2
34.62  52  1 1 2
20.86  43  0 0 2
15.67  40  1 0 0
51.22  38  1 1 4
47.60  34  2 1 2
38.20  22  2 0 2
48.27  21  3 0 0
56.35  18  2 2 0
66.21  17  3 0 4
53.13  16  3 0 2


5.
CsPm2Cu3TeS4: theoretical powder XRD pattern (Cu Kα (weighted mean of Kα1 and Kα2)), based on a GGA-PBE-relaxed structure.
Neutral-atom scattering factors, no anomalous dispersion.

Cell and atoms:
```
data_CsPm2Cu3TeS4
_symmetry_space_group_name_H-M 'C m c m'
_symmetry_Int_Tables_number 63
_symmetry_space_group_name_Hall '-C 2c 2'
_cell_length_a 4.138
_cell_length_b 14.281
_cell_length_c 17.924
_cell_angle_alpha 90.00
_cell_angle_beta 90.00
_cell_angle_gamma 90.00
loop_
_atom_site_label
_atom_site_type_symbol
_atom_site_fract_x
_atom_site_fract_y
_atom_site_fract_z
Cs1 Cs 0.000 0.048 0.250
Pm1 Pm 0.000 0.187 0.583
Cu1 Cu 0.000 0.349 0.250
Cu2 Cu 0.000 0.414 0.536
Te1 Te 0.000 0.245 0.750
S1 S 0.000 0.167 0.069
S2 S 0.000 0.441 0.101
```

Main lines, by intensity (10 to 80 degrees two-theta):
2θ (°)  Rel. int.  index
29.91  100  0 0 6
29.02  83  1 3 1
30.31  81  1 3 2
26.92  68  1 1 3
45.83  60  1 3 7
43.75  56  2 0 0
35.02  51  1 3 4
25.44  51  0 4 1
38.29  47  1 5 0
12.40  43  0 2 0
35.49  39  0 4 5
53.90  37  2 0 6


6.
Li4TlSbAu2: theoretical powder XRD pattern (Cu Kα (weighted mean of Kα1 and Kα2)), based on a GGA-PBE-relaxed structure.
Neutral-atom scattering factors, no anomalous dispersion.

Cell and atoms:
```
data_Li4TlSbAu2
_symmetry_space_group_name_H-M 'P -4 m 2'
_symmetry_Int_Tables_number 115
_cell_length_a 4.565
_cell_length_b 4.565
_cell_length_c 6.789
_cell_angle_alpha 90.00
_cell_angle_beta 90.00
_cell_angle_gamma 90.00
loop_
_symmetry_equiv_pos_as_xyz
'x,y,z'
'y,-x,-z'
'-x,-y,z'
'-y,x,-z'
'-x,y,z'
'-y,-x,-z'
'x,-y,z'
'y,x,-z'
loop_
_atom_site_label
_atom_site_type_symbol
_atom_site_fract_x
_atom_site_fract_y
_atom_site_fract_z
Li1 Li 0.000 0.000 0.000
Li2 Li 0.000 0.500 0.750
Li3 Li 0.500 0.500 0.500
Tl1 Tl 0.000 0.000 0.500
Sb1 Sb 0.500 0.500 0.000
Au1 Au 0.000 0.500 0.245
```

Main lines, by intensity (10 to 80 degrees two-theta):
2θ (°)  Rel. int.  index
23.48  100  1 0 1
38.48  63  1 1 2
46.44  34  2 1 1
39.48  29  2 0 0
70.94  21  3 1 2
44.69  19  1 0 3
61.13  15  2 1 3
68.94  11  2 0 4
57.06  10  2 2 0
76.53  8  3 2 1
62.55  7  3 0 1
54.03  6  0 0 4